No. 1
Diffraction record for LaSm4Y8. The powder diffractogram is simulated, not measured: it uses a crystal structure in Alexandria, relaxed with PBE and Cu Kα (weighted mean of Kα1 and Kα2).

The 12 most intense peaks (2θ from 5° to 70°), in order of rising 2θ:
| two_theta | I (rel.) |
| --- | --- |
| 15.95 | 5.2 |
| 19.57 | 23.4 |
| 25.34 | 6.2 |
| 27.81 | 2.5 |
| 32.22 | 100.0 |
| 37.98 | 13.0 |
| 46.21 | 17.8 |
| 47.72 | 2.8 |
| 50.64 | 5.8 |
| 57.45 | 36.2 |
| 61.30 | 4.3 |
| 67.42 | 10.9 |

Cell and atoms:
Unit cell a=7.858 b=7.858 c=7.858 alpha=90.00 beta=90.00 gamma=90.00
Fractional coordinates of all 13 atoms:
La  0.000  0.000  0.000
Sm  0.000  0.000  0.500
Sm  0.000  0.500  0.000
Sm  0.500  0.000  0.000
Sm  0.500  0.500  0.500
Y  0.261  0.261  0.261
Y  0.261  0.261  0.739
Y  0.261  0.739  0.261
Y  0.261  0.739  0.739
Y  0.739  0.261  0.261
Y  0.739  0.261  0.739
Y  0.739  0.739  0.261
Y  0.739  0.739  0.739

=====

No. 2
Diffraction record for La4SmY2. The powder diffractogram is simulated, not measured: it uses a crystal structure in Alexandria, relaxed with PBE and Cu Kα (weighted mean of Kα1 and Kα2).

The 12 most intense peaks (2θ from 5° to 70°), in order of rising 2θ:
| two_theta | I (rel.) |
| --- | --- |
| 29.26 | 11.6 |
| 29.60 | 100.0 |
| 30.16 | 34.3 |
| 30.91 | 32.9 |
| 30.92 | 33.0 |
| 31.55 | 32.7 |
| 31.77 | 25.6 |
| 36.33 | 27.8 |
| 43.56 | 10.7 |
| 49.53 | 21.1 |
| 53.98 | 14.6 |
| 59.35 | 14.2 |

Cell and atoms:
Unit cell a=12.807 b=12.807 c=6.930 alpha=96.97 beta=96.97 gamma=150.28
Fractional coordinates of all 14 atoms:
La  0.018  0.982  0.500
La  0.137  0.601  0.737
La  0.215  0.610  0.277
La  0.452  0.556  0.456
La  0.556  0.452  0.956
La  0.601  0.137  0.237
La  0.610  0.215  0.777
La  0.982  0.018  0.000
Sm  0.092  0.842  0.867
Sm  0.842  0.092  0.367
Y  0.048  0.733  0.320
Y  0.344  0.529  0.913
Y  0.529  0.344  0.413
Y  0.733  0.048  0.820

=====

No. 3
Diffraction record for La6Sm2Zn. The powder diffractogram is simulated, not measured: it uses a crystal structure in Alexandria, relaxed with PBE and Cu Kα (weighted mean of Kα1 and Kα2).

The 12 most intense peaks (2θ from 5° to 70°), in order of rising 2θ:
| two_theta | I (rel.) |
| --- | --- |
| 24.78 | 11.8 |
| 30.09 | 100.0 |
| 30.52 | 31.6 |
| 31.28 | 70.4 |
| 32.35 | 39.9 |
| 36.09 | 16.6 |
| 45.07 | 21.6 |
| 49.24 | 13.7 |
| 56.30 | 16.9 |
| 57.03 | 12.8 |
| 57.62 | 9.6 |
| 57.72 | 9.6 |

Cell and atoms:
Unit cell a=10.548 b=10.570 c=5.535 alpha=90.00 beta=90.00 gamma=90.00
Fractional coordinates of all 18 atoms:
La  0.040  0.191  0.000
La  0.123  0.621  0.500
La  0.191  0.957  0.500
La  0.309  0.457  0.000
La  0.377  0.121  0.000
La  0.460  0.691  0.500
La  0.540  0.309  0.500
La  0.623  0.879  0.000
La  0.691  0.543  0.000
La  0.809  0.043  0.500
La  0.877  0.379  0.500
La  0.960  0.809  0.000
Sm  0.217  0.280  0.500
Sm  0.283  0.780  0.000
Sm  0.717  0.220  0.000
Sm  0.783  0.720  0.500
Zn  0.000  0.500  0.000
Zn  0.500  0.000  0.500

=====

No. 4
Diffraction record for LaSm7Zn4. The powder diffractogram is simulated, not measured: it uses a crystal structure in Alexandria, relaxed with PBE and Cu Kα (weighted mean of Kα1 and Kα2).

The 12 most intense peaks (2θ from 5° to 70°), in order of rising 2θ:
| two_theta | I (rel.) |
| --- | --- |
| 25.74 | 29.7 |
| 29.86 | 51.6 |
| 30.05 | 21.4 |
| 30.76 | 67.9 |
| 31.52 | 100.0 |
| 31.81 | 53.7 |
| 32.37 | 43.9 |
| 33.81 | 25.2 |
| 36.74 | 60.0 |
| 37.42 | 23.6 |
| 43.97 | 35.8 |
| 45.81 | 33.5 |

Cell and atoms:
Unit cell a=7.635 b=7.635 c=9.878 alpha=120.32 beta=120.32 gamma=43.65
Fractional coordinates of all 12 atoms:
La  0.000  0.000  0.000
Sm  0.070  0.070  0.405
Sm  0.206  0.206  0.880
Sm  0.279  0.279  0.330
Sm  0.500  0.500  0.000
Sm  0.721  0.721  0.670
Sm  0.794  0.794  0.120
Sm  0.930  0.930  0.595
Zn  0.321  0.321  0.662
Zn  0.461  0.461  0.268
Zn  0.539  0.539  0.732
Zn  0.679  0.679  0.338

=====

No. 5
Diffraction record for LaSm2Zn2. The powder diffractogram is simulated, not measured: it uses a crystal structure in Alexandria, relaxed with PBE and Cu Kα (weighted mean of Kα1 and Kα2).

The 12 most intense peaks (2θ from 5° to 70°), in order of rising 2θ:
| two_theta | I (rel.) |
| --- | --- |
| 26.69 | 28.1 |
| 27.68 | 63.7 |
| 30.07 | 59.8 |
| 33.06 | 75.8 |
| 33.22 | 100.0 |
| 33.66 | 84.2 |
| 36.14 | 72.1 |
| 36.95 | 52.9 |
| 45.75 | 37.6 |
| 50.25 | 22.0 |
| 59.87 | 31.6 |
| 60.49 | 27.5 |

Cell and atoms:
Unit cell a=8.261 b=8.261 c=6.426 alpha=90.00 beta=90.00 gamma=142.39
Fractional coordinates of all 10 atoms:
La  0.087  0.913  0.500
La  0.913  0.087  0.000
Sm  0.296  0.704  0.274
Sm  0.463  0.537  0.633
Sm  0.537  0.463  0.133
Sm  0.704  0.296  0.774
Zn  0.130  0.870  0.997
Zn  0.287  0.713  0.785
Zn  0.713  0.287  0.285
Zn  0.870  0.130  0.497

=====

No. 6
Diffraction record for La3Sn7. The powder diffractogram is simulated, not measured: it uses a crystal structure in Alexandria, relaxed with PBE and Cu Kα (weighted mean of Kα1 and Kα2).

The 12 most intense peaks (2θ from 5° to 70°), in order of rising 2θ:
| two_theta | I (rel.) |
| --- | --- |
| 32.03 | 100.0 |
| 33.79 | 16.5 |
| 36.18 | 4.4 |
| 38.35 | 16.9 |
| 39.13 | 16.0 |
| 52.03 | 11.7 |
| 52.64 | 9.6 |
| 55.95 | 11.5 |
| 59.34 | 8.3 |
| 65.40 | 13.3 |
| 66.48 | 12.9 |
| 66.98 | 11.2 |

Cell and atoms:
Unit cell a=13.463 b=13.463 c=4.694 alpha=90.00 beta=90.00 gamma=160.31
Fractional coordinates of all 10 atoms:
La  0.000  0.000  0.000
La  0.184  0.816  0.000
La  0.816  0.184  0.000
Sn  0.096  0.904  0.500
Sn  0.288  0.712  0.500
Sn  0.405  0.595  0.000
Sn  0.500  0.500  0.500
Sn  0.595  0.405  0.000
Sn  0.712  0.288  0.500
Sn  0.904  0.096  0.500